Simulated powder diffraction line list of RbAlCuF6 for a wavelength of 1.5418 Å, from a DFT-relaxed cell (PBE, Alexandria).
Lines closer than 0.1° are merged.

Cell and atoms:
a b c (Å): 6.919 7.172 10.113
angles (deg): 90.00 90.00 90.00
Positions (direct):
Rb  0.015  0.250  0.124
Rb  0.485  0.750  0.624
Rb  0.515  0.250  0.376
Rb  0.985  0.750  0.876
Al  0.000  0.000  0.500
Al  0.000  0.500  0.500
Al  0.500  0.000  0.000
Al  0.500  0.500  0.000
Cu  0.203  0.250  0.762
Cu  0.297  0.750  0.262
Cu  0.703  0.250  0.738
Cu  0.797  0.750  0.238
F  0.054  0.250  0.473
F  0.055  0.750  0.168
F  0.131  0.004  0.656
F  0.131  0.496  0.656
F  0.224  0.555  0.415
F  0.224  0.945  0.415
F  0.276  0.055  0.915
F  0.276  0.445  0.915
F  0.369  0.504  0.156
F  0.369  0.996  0.156
F  0.445  0.250  0.668
F  0.446  0.750  0.973
F  0.554  0.250  0.027
F  0.555  0.750  0.332
F  0.631  0.004  0.844
F  0.631  0.496  0.844
F  0.724  0.555  0.085
F  0.724  0.945  0.085
F  0.776  0.055  0.585
F  0.776  0.445  0.585
F  0.869  0.504  0.344
F  0.869  0.996  0.344
F  0.945  0.250  0.832
F  0.946  0.750  0.527

Principal peaks in the range 15° ≤ 2θ ≤ 90°, sorted by position:
| index | two_theta | I (rel.) |
| --- | --- | --- |
| 1 1 2 | 25.10 | 39 |
| 0 1 3 | 29.27 | 54 |
| 1 2 1 | 29.43 | 100 |
| 2 1 1 | 30.01 | 80 |
| 0 3 3 | 46.59 | 35 |
| 2 2 4 | 51.51 | 42 |